Starting from a structure optimized by DFT (GGA-PBE), the X-ray powder pattern of InSbPdPt4 was calculated for CuKα.
Neutral-atom scattering factors, no anomalous dispersion.

```
InSbPdPt4
1.0
4.0716 0.0000 0.0000
0.0000 4.0716 0.0000
0.0000 0.0000 7.5351
In Sb Pd Pt
1 1 1 4
Direct
0.0000 0.0000 0.0000 In
0.5000 0.5000 0.5000 Sb
0.5000 0.5000 0.0000 Pd
0.0000 0.5000 0.2670 Pt
0.0000 0.5000 0.7330 Pt
0.5000 0.0000 0.2670 Pt
0.5000 0.0000 0.7330 Pt
```

Peak list (10 most intense, 2θ = 10–90°, in order of rising 2θ)
| d (Å) | Position (°2θ) | intensity |
| --- | --- | --- |
| 3.768 | 23.6 | 12 |
| 2.879 | 31.1 | 14 |
| 2.288 | 39.4 | 100 |
| 2.036 | 44.5 | 37 |
| 1.884 | 48.3 | 13 |
| 1.440 | 64.8 | 12 |
| 1.383 | 67.8 | 18 |
| 1.218 | 78.5 | 27 |
| 1.151 | 84.1 | 9 |
| 1.144 | 84.8 | 10 |